Record 1
NaHgPd: theoretical powder X-ray diffraction pattern (Cu Kα, 1.54184 Å), based on the PBE geometry in Alexandria.
Peak positions follow from Bragg's law for the DFT cell and can differ from measured ones.

Largest 6 diffraction maxima, low angle first, 2θ from 15° to 90°:
d 4.695, 18.9 deg, I = 30
d 4.538, 19.6 deg, I = 100
d 2.499, 35.9 deg, I = 66
d 2.347, 38.3 deg, I = 53
d 2.269, 39.7 deg, I = 51
d 2.059, 44.0 deg, I = 32

Structural model:
Cell: 5.5954 5.5954 5.5954 Å, 119.10 115.30 94.95°
Fractional positions:
Na (0.3603, 0.1103, 0.2500)
Na (0.6397, 0.8897, 0.7500)
Hg (0.0000, 0.5000, 0.5000)
Hg (0.5000, 0.5000, 0.0000)
Pd (0.0000, 0.0000, 0.5000)
Pd (0.0000, 0.5000, 0.0000)

***

Record 2
AlCdAu2: theoretical powder X-ray diffraction pattern (Cu Kα, 1.54184 Å), based on the PBE geometry in Alexandria.
Peak positions follow from Bragg's law for the DFT cell and can differ from measured ones.

Largest 6 diffraction maxima, low angle first, 2θ from 15° to 90°:
d 3.309, 26.9 deg, I = 28
d 2.340, 38.5 deg, I = 100
d 1.654, 55.5 deg, I = 17
d 1.480, 62.8 deg, I = 11
d 1.351, 69.6 deg, I = 35
d 1.170, 82.4 deg, I = 11

Structural model:
Cell: 4.6796 4.6796 4.6796 Å, 60.00 60.00 60.00°
Fractional positions:
Al (0.0000, 0.0000, 0.0000)
Cd (0.5000, 0.5000, 0.5000)
Au (0.2500, 0.2500, 0.2500)
Au (0.7500, 0.7500, 0.7500)

***

Record 3
MoPd3Pt4: theoretical powder X-ray diffraction pattern (Cu Kα, 1.54184 Å), based on the PBE geometry in Alexandria.
Peak positions follow from Bragg's law for the DFT cell and can differ from measured ones.

Largest 6 diffraction maxima, low angle first, 2θ from 15° to 90°:
d 2.285, 39.4 deg, I = 100
d 1.983, 45.8 deg, I = 33
d 1.970, 46.1 deg, I = 16
d 1.398, 67.0 deg, I = 21
d 1.195, 80.3 deg, I = 25
d 1.189, 80.8 deg, I = 12

Structural model:
Cell: 8.3641 8.3641 8.3641 Å, 152.57 152.57 39.18°
Fractional positions:
Mo (0.0000, 0.0000, 0.0000)
Pd (0.2515, 0.2515, 0.0000)
Pd (0.5000, 0.5000, 0.0000)
Pd (0.7485, 0.7485, 0.0000)
Pt (0.1204, 0.6204, 0.5000)
Pt (0.3796, 0.8796, 0.5000)
Pt (0.6204, 0.1204, 0.5000)
Pt (0.8796, 0.3796, 0.5000)

***

Record 4
Rb2Pd4Pb5: theoretical powder X-ray diffraction pattern (Cu Kα, 1.54184 Å), based on the PBE geometry in Alexandria.
Peak positions follow from Bragg's law for the DFT cell and can differ from measured ones.

Largest 6 diffraction maxima, low angle first, 2θ from 15° to 90°:
d 3.137, 28.5 deg, I = 100
d 2.951, 30.3 deg, I = 29
d 2.600, 34.5 deg, I = 29
d 2.448, 36.7 deg, I = 42
d 2.385, 37.7 deg, I = 28
d 2.311, 39.0 deg, I = 33

Structural model:
Cell: 7.3982 7.3982 8.5538 Å, 120.74 120.74 67.22°
Fractional positions:
Rb (0.0825, 0.0825, 0.3452)
Rb (0.9175, 0.9175, 0.6548)
Pd (0.2709, 0.2709, 0.1024)
Pd (0.4589, 0.4589, 0.7834)
Pd (0.5411, 0.5411, 0.2166)
Pd (0.7291, 0.7291, 0.8976)
Pb (0.1207, 0.5196, 0.8788)
Pb (0.4804, 0.8793, 0.1212)
Pb (0.5000, 0.5000, 0.5000)
Pb (0.5196, 0.1207, 0.8788)
Pb (0.8793, 0.4804, 0.1212)